Starting from the PBE+U geometry in Alexandria, the X-ray powder pattern of Li2MnCo2O6 was calculated for Cu Kα, 1.54184 Å.

Cell and atoms:
Cell: 4.9771 4.9771 10.1202 Å, 90.00 90.00 63.24°
Fractional coordinates of all 22 atoms:
1 Li 0.1204 0.3796 0.2500
2 Li 0.3796 0.1204 0.7500
3 Li 0.6204 0.8796 0.2500
4 Li 0.8796 0.6204 0.7500
5 Mn 0.0000 0.0000 0.0000
6 Mn 0.5000 0.5000 0.5000
7 Co 0.1656 0.1656 0.5000
8 Co 0.3344 0.3344 0.0000
9 Co 0.6656 0.6656 0.0000
10 Co 0.8344 0.8344 0.5000
11 O 0.0360 0.3050 0.8914
12 O 0.1705 0.8295 0.4073
13 O 0.1950 0.4640 0.6086
14 O 0.3050 0.0360 0.1086
15 O 0.3295 0.6705 0.9073
16 O 0.4640 0.1950 0.3914
17 O 0.5360 0.8050 0.6086
18 O 0.6705 0.3295 0.0927
19 O 0.6950 0.9640 0.8914
20 O 0.8050 0.5360 0.3914
21 O 0.8295 0.1705 0.5927
22 O 0.9640 0.6950 0.1086

Peak list (8 most intense, 2θ = 5–70°, most intense first)
2theta, I_rel
17.53, 100
45.33, 33
37.26, 26
38.83, 19
58.85, 18
63.46, 15
50.23, 11
34.37, 11